No. 1
Structure and simulated PXRD pattern of Cs3Nd2TmS6 (a crystal structure in Alexandria, relaxed with PBE; Cu Ka).
Lines closer than 0.1° are merged.

Cell and atoms:
Cell: 7.251 7.251 8.440 Å, 98.24 98.24 120.00°
Atoms (fractional coordinates):
Cs1 0.000 0.000 0.000
Cs2 0.332 0.668 0.000
Cs3 0.668 0.332 0.000
Nd1 0.167 0.833 0.500
Nd2 0.833 0.167 0.500
Tm1 0.500 0.500 0.500
S1 0.117 0.439 0.316
S2 0.240 0.240 0.685
S3 0.439 0.117 0.316
S4 0.561 0.883 0.684
S5 0.760 0.760 0.315
S6 0.883 0.561 0.684

Most intense lines, 2θ from 10° to 90°, low angle first:
- 2θ = 22.0°, intensity 31
- 2θ = 25.6°, intensity 53
- 2θ = 28.7°, intensity 100
- 2θ = 38.7°, intensity 37
- 2θ = 43.2°, intensity 33
- 2θ = 45.0°, intensity 18
- 2θ = 49.0°, intensity 23
- 2θ = 52.7°, intensity 18
- 2θ = 64.0°, intensity 13
- 2θ = 70.4°, intensity 15

=====

No. 2
Structure and simulated PXRD pattern of Tl4GeSe6 (a crystal structure in Alexandria, relaxed with PBE; Cu Ka).
Lines closer than 0.1° are merged.

Cell and atoms:
Cell: 7.941 7.941 13.283 Å, 104.59 104.59 72.54°
Atoms (fractional coordinates):
Tl1 0.065 0.935 0.500
Tl2 0.122 0.261 0.812
Tl3 0.124 0.577 0.184
Tl4 0.261 0.122 0.312
Tl5 0.576 0.744 0.028
Tl6 0.577 0.124 0.684
Tl7 0.744 0.576 0.528
Tl8 0.935 0.065 0.000
Ge1 0.171 0.726 0.761
Ge2 0.726 0.171 0.261
Se1 0.142 0.622 0.573
Se2 0.227 0.892 0.122
Se3 0.352 0.472 0.838
Se4 0.362 0.929 0.822
Se5 0.383 0.916 0.459
Se6 0.472 0.352 0.338
Se7 0.622 0.142 0.073
Se8 0.823 0.882 0.310
Se9 0.882 0.823 0.810
Se10 0.892 0.227 0.622
Se11 0.916 0.383 0.959
Se12 0.929 0.362 0.322

Most intense lines, 2θ from 10° to 90°, low angle first:
- 2θ = 11.9°, intensity 50
- 2θ = 20.1°, intensity 100
- 2θ = 23.3°, intensity 43
- 2θ = 23.6°, intensity 42
- 2θ = 24.0°, intensity 93
- 2θ = 25.4°, intensity 65
- 2θ = 26.3°, intensity 75
- 2θ = 28.3°, intensity 43
- 2θ = 31.2°, intensity 41
- 2θ = 38.5°, intensity 46

=====

No. 3
Structure and simulated PXRD pattern of PrDy8Er3 (a crystal structure in Alexandria, relaxed with PBE; Cu Ka).
Lines closer than 0.1° are merged.

Cell and atoms:
Cell: 8.436 8.436 8.436 Å, 99.86 96.03 136.36°
Atoms (fractional coordinates):
Pr1 0.000 0.000 0.000
Dy1 0.000 0.335 0.335
Dy2 0.000 0.665 0.665
Dy3 0.420 0.001 0.085
Dy4 0.420 0.335 0.419
Dy5 0.499 0.331 0.832
Dy6 0.499 0.667 0.168
Dy7 0.916 0.001 0.581
Dy8 0.916 0.335 0.915
Er1 0.415 0.667 0.749
Er2 0.498 0.998 0.500
Er3 0.918 0.667 0.251

Most intense lines, 2θ from 10° to 90°, low angle first:
- 2θ = 28.5°, intensity 24
- 2θ = 31.7°, intensity 24
- 2θ = 32.7°, intensity 100
- 2θ = 43.1°, intensity 16
- 2θ = 50.4°, intensity 20
- 2θ = 57.1°, intensity 20
- 2θ = 60.8°, intensity 23
- 2θ = 61.4°, intensity 16
- 2θ = 83.3°, intensity 14
- 2θ = 87.7°, intensity 8

=====

No. 4
Structure and simulated PXRD pattern of Ac6Si2BrCl3 (a crystal structure in Alexandria, relaxed with PBE; Cu Ka).
Lines closer than 0.1° are merged.

Cell and atoms:
Cell: 9.980 9.980 8.772 Å, 102.30 102.30 26.48°
Atoms (fractional coordinates):
Ac1 0.002 0.002 0.258
Ac2 0.328 0.328 0.427
Ac3 0.335 0.335 0.904
Ac4 0.665 0.665 0.096
Ac5 0.672 0.672 0.573
Ac6 0.998 0.998 0.742
Si1 0.163 0.163 0.328
Si2 0.837 0.837 0.672
Br1 0.500 0.500 0.000
Cl1 0.175 0.175 0.839
Cl2 0.500 0.500 0.500
Cl3 0.825 0.825 0.161

Most intense lines, 2θ from 10° to 90°, low angle first:
- 2θ = 24.0°, intensity 46
- 2θ = 24.6°, intensity 21
- 2θ = 24.8°, intensity 20
- 2θ = 28.2°, intensity 100
- 2θ = 39.4°, intensity 14
- 2θ = 40.2°, intensity 26
- 2θ = 40.4°, intensity 25
- 2θ = 47.1°, intensity 16
- 2θ = 49.2°, intensity 15
- 2θ = 58.3°, intensity 13

=====

No. 5
Structure and simulated PXRD pattern of Pm8Ni3OsI4 (a crystal structure in Alexandria, relaxed with PBE; Cu Ka).
Lines closer than 0.1° are merged.

Cell and atoms:
Cell: 9.362 9.362 9.362 Å, 52.18 52.18 52.18°
Atoms (fractional coordinates):
Pm1 0.227 0.227 0.227
Pm2 0.230 0.728 0.728
Pm3 0.272 0.272 0.770
Pm4 0.272 0.770 0.272
Pm5 0.728 0.230 0.728
Pm6 0.728 0.728 0.230
Pm7 0.770 0.272 0.272
Pm8 0.773 0.773 0.773
Ni1 0.000 0.000 0.500
Ni2 0.000 0.500 0.000
Ni3 0.500 0.000 0.000
Os1 0.500 0.500 0.500
I1 0.000 0.000 0.000
I2 0.000 0.500 0.500
I3 0.500 0.000 0.500
I4 0.500 0.500 0.000

Most intense lines, 2θ from 10° to 90°, low angle first:
- 2θ = 11.0°, intensity 11
- 2θ = 29.1°, intensity 100
- 2θ = 31.2°, intensity 18
- 2θ = 33.3°, intensity 10
- 2θ = 36.2°, intensity 11
- 2θ = 39.1°, intensity 25
- 2θ = 44.0°, intensity 38
- 2θ = 53.6°, intensity 18
- 2θ = 56.3°, intensity 14
- 2θ = 71.8°, intensity 15

=====

No. 6
Structure and simulated PXRD pattern of Er3Cu4Ni4 (a crystal structure in Alexandria, relaxed with PBE; Cu Ka).
Lines closer than 0.1° are merged.

Cell and atoms:
Cell: 6.212 6.212 6.212 Å, 109.47 109.47 109.47°
Atoms (fractional coordinates):
Er1 0.000 0.500 0.500
Er2 0.500 0.000 0.500
Er3 0.500 0.500 0.000
Cu1 0.000 0.000 0.756
Cu2 0.000 0.756 0.000
Cu3 0.244 0.244 0.244
Cu4 0.756 0.000 0.000
Ni1 0.000 0.000 0.397
Ni2 0.000 0.397 0.000
Ni3 0.397 0.000 0.000
Ni4 0.603 0.603 0.603

Most intense lines, 2θ from 10° to 90°, low angle first:
- 2θ = 24.8°, intensity 25
- 2θ = 30.5°, intensity 22
- 2θ = 35.4°, intensity 100
- 2θ = 39.7°, intensity 45
- 2θ = 43.7°, intensity 15
- 2θ = 47.4°, intensity 25
- 2θ = 54.3°, intensity 20
- 2θ = 57.5°, intensity 21
- 2θ = 63.5°, intensity 25
- 2θ = 74.9°, intensity 15